Entry 1:
For K6NaBr8, a DFT-relaxed cell (GGA-PBE, Alexandria) gives the simulated powder XRD pattern in this record (Cu Kα, 1.54184 Å).
No peak broadening, texture or thermal motion is included.

Structure:
Cell lengths 9.7213, 9.7213, 6.7911 Å; angles 90.00, 90.00, 120.00 degrees
Fractional positions:
K: 0.0000 0.3705 0.2214
K: 0.0000 0.6295 0.7786
K: 0.3705 0.0000 0.2214
K: 0.3705 0.3705 0.7786
K: 0.6295 0.0000 0.7786
K: 0.6295 0.6295 0.2214
Na: 0.0000 0.0000 0.5000
Br: 0.0000 0.2820 0.7090
Br: 0.0000 0.7180 0.2910
Br: 0.2820 0.0000 0.7090
Br: 0.2820 0.2820 0.2910
Br: 0.3333 0.6667 0.0000
Br: 0.6667 0.3333 0.0000
Br: 0.7180 0.0000 0.2910
Br: 0.7180 0.7180 0.7090

Most intense lines, 10 to 90 degrees two-theta, sorted by position:
d 5.286, 2θ = 16.77°, intensity 315
d 3.953, 2θ = 22.49°, intensity 490
d 2.881, 2θ = 31.04°, intensity 691
d 2.806, 2θ = 31.89°, intensity 935
d 2.784, 2θ = 32.16°, intensity 1000
d 1.976, 2θ = 45.92°, intensity 260



Entry 2:
For PmYIr, a DFT-relaxed cell (GGA-PBE, Alexandria) gives the simulated powder XRD pattern in this record (Cu Kα, 1.54184 Å).
No peak broadening, texture or thermal motion is included.

Structure:
Cell lengths 8.2423, 8.2423, 10.3773 Å; angles 119.57, 119.57, 56.31 degrees
Fractional positions:
Pm: 0.0000 0.5000 0.5000
Pm: 0.1504 0.8163 0.8938
Pm: 0.1837 0.8496 0.6062
Pm: 0.5000 0.0000 0.0000
Pm: 0.8163 0.1504 0.3938
Pm: 0.8496 0.1837 0.1062
Y: 0.1539 0.3689 0.8279
Y: 0.3460 0.6540 0.2500
Y: 0.3689 0.1539 0.3279
Y: 0.6311 0.8461 0.6721
Y: 0.6540 0.3460 0.7500
Y: 0.8461 0.6311 0.1721
Ir: 0.0889 0.2337 0.0101
Ir: 0.2337 0.0889 0.5101
Ir: 0.5000 0.5000 0.0000
Ir: 0.5000 0.5000 0.5000
Ir: 0.7663 0.9111 0.4899
Ir: 0.9111 0.7663 0.9899

Most intense lines, 10 to 90 degrees two-theta, sorted by position:
d 4.300, 2θ = 20.66°, intensity 1000
d 3.567, 2θ = 24.96°, intensity 621
d 3.011, 2θ = 29.67°, intensity 500
d 2.786, 2θ = 32.13°, intensity 920
d 2.596, 2θ = 34.56°, intensity 999
d 2.460, 2θ = 36.53°, intensity 900



Entry 3:
For Pm12Sm6Ho, a DFT-relaxed cell (GGA-PBE, Alexandria) gives the simulated powder XRD pattern in this record (Cu Kα, 1.54184 Å).
No peak broadening, texture or thermal motion is included.

Structure:
Cell lengths 8.6965, 8.6965, 8.6965 Å; angles 89.14, 89.14, 89.14 degrees
Fractional positions:
Pm: 0.0170 0.1949 0.3596
Pm: 0.1949 0.3596 0.0170
Pm: 0.2210 0.4633 0.5650
Pm: 0.3596 0.0170 0.1949
Pm: 0.4350 0.7790 0.5367
Pm: 0.4633 0.5650 0.2210
Pm: 0.5367 0.4350 0.7790
Pm: 0.5650 0.2210 0.4633
Pm: 0.6404 0.9830 0.8051
Pm: 0.7790 0.5367 0.4350
Pm: 0.8051 0.6404 0.9830
Pm: 0.9830 0.8051 0.6404
Sm: 0.0954 0.6988 0.2614
Sm: 0.2614 0.0954 0.6988
Sm: 0.3012 0.7386 0.9046
Sm: 0.6988 0.2614 0.0954
Sm: 0.7386 0.9046 0.3012
Sm: 0.9046 0.3012 0.7386
Ho: 0.0000 0.0000 0.0000

Most intense lines, 10 to 90 degrees two-theta, sorted by position:
d 2.937, 2θ = 30.44°, intensity 419
d 2.898, 2θ = 30.85°, intensity 281
d 2.879, 2θ = 31.06°, intensity 1000
d 2.762, 2θ = 32.42°, intensity 666
d 2.737, 2θ = 32.71°, intensity 300
d 1.693, 2θ = 54.17°, intensity 197



Entry 4:
For Al2Se3, a DFT-relaxed cell (GGA-PBE, Alexandria) gives the simulated powder XRD pattern in this record (Cu Kα, 1.54184 Å).
No peak broadening, texture or thermal motion is included.

Structure:
Cell lengths 7.9260, 7.9260, 7.9260 Å; angles 50.35, 50.35, 50.35 degrees
Fractional positions:
Al: 0.0000 0.0000 0.0000
Al: 0.2423 0.8939 0.5528
Al: 0.5528 0.2423 0.8939
Al: 0.8939 0.5528 0.2423
Se: 0.0083 0.6609 0.3542
Se: 0.1740 0.1740 0.1740
Se: 0.3542 0.0083 0.6609
Se: 0.5067 0.5067 0.5067
Se: 0.6609 0.3542 0.0083
Se: 0.8497 0.8497 0.8497

Most intense lines, 10 to 90 degrees two-theta, sorted by position:
d 3.452, 2θ = 25.81°, intensity 401
d 3.372, 2θ = 26.43°, intensity 455
d 3.030, 2θ = 29.48°, intensity 1000
d 1.947, 2θ = 46.66°, intensity 360
d 1.901, 2θ = 47.86°, intensity 416
d 1.696, 2θ = 54.09°, intensity 294



Entry 5:
For Pm2Ga3Pd2, a DFT-relaxed cell (GGA-PBE, Alexandria) gives the simulated powder XRD pattern in this record (Cu Kα, 1.54184 Å).
No peak broadening, texture or thermal motion is included.

Structure:
Cell lengths 10.2816, 4.4430, 6.7612 Å; angles 90.00, 114.27, 90.00 degrees
Fractional positions:
Pm: 0.1512 0.0000 0.2725
Pm: 0.3488 0.5000 0.7275
Pm: 0.6512 0.5000 0.2725
Pm: 0.8488 0.0000 0.7275
Ga: 0.0000 0.5000 0.5000
Ga: 0.1140 0.5000 0.9374
Ga: 0.3860 0.0000 0.0626
Ga: 0.5000 0.0000 0.5000
Ga: 0.6140 0.0000 0.9374
Ga: 0.8860 0.5000 0.0626
Pd: 0.1354 0.0000 0.7228
Pd: 0.3646 0.5000 0.2772
Pd: 0.6354 0.5000 0.7228
Pd: 0.8646 0.0000 0.2772

Most intense lines, 10 to 90 degrees two-theta, sorted by position:
d 2.683, 2θ = 33.39°, intensity 595
d 2.556, 2θ = 35.11°, intensity 690
d 2.403, 2θ = 37.42°, intensity 1000
d 2.343, 2θ = 38.42°, intensity 339
d 2.260, 2θ = 39.89°, intensity 602
d 2.222, 2θ = 40.61°, intensity 595



Entry 6:
For MgU2Si2O16, a DFT-relaxed cell (GGA-PBE, Alexandria) gives the simulated powder XRD pattern in this record (Cu Kα, 1.54184 Å).
No peak broadening, texture or thermal motion is included.

Structure:
Cell lengths 9.2338, 9.2338, 6.9482 Å; angles 103.22, 103.22, 44.48 degrees
Fractional positions:
Mg: 0.0000 0.0000 0.0000
U: 0.2581 0.2581 0.6552
U: 0.7419 0.7419 0.3448
Si: 0.2091 0.2091 0.1539
Si: 0.7909 0.7909 0.8461
O: 0.0608 0.4192 0.3102
O: 0.0855 0.9070 0.3091
O: 0.0930 0.9145 0.6909
O: 0.1129 0.1129 0.0686
O: 0.1487 0.1487 0.5822
O: 0.2523 0.2523 0.9668
O: 0.3673 0.3673 0.6949
O: 0.4192 0.0608 0.3102
O: 0.5808 0.9392 0.6898
O: 0.6327 0.6327 0.3051
O: 0.7477 0.7477 0.0332
O: 0.8513 0.8513 0.4178
O: 0.8871 0.8871 0.9314
O: 0.9070 0.0855 0.3091
O: 0.9145 0.0930 0.6909
O: 0.9392 0.5808 0.6898

Most intense lines, 10 to 90 degrees two-theta, sorted by position:
d 8.282, 2θ = 10.68°, intensity 1000
d 6.000, 2θ = 14.76°, intensity 197
d 4.445, 2θ = 19.97°, intensity 254
d 4.141, 2θ = 21.46°, intensity 261
d 3.495, 2θ = 25.49°, intensity 229
d 3.108, 2θ = 28.73°, intensity 233



Entry 7:
For TmTh6Sc6, a DFT-relaxed cell (GGA-PBE, Alexandria) gives the simulated powder XRD pattern in this record (Cu Kα, 1.54184 Å).
No peak broadening, texture or thermal motion is included.

Structure:
Cell lengths 6.2588, 6.2588, 11.1619 Å; angles 90.00, 90.00, 120.24 degrees
Fractional positions:
Tm: 0.0000 0.0000 0.0000
Th: 0.0000 0.0000 0.3581
Th: 0.0000 0.0000 0.6419
Th: 0.3198 0.6802 0.0000
Th: 0.3349 0.6651 0.5000
Th: 0.6651 0.3349 0.5000
Th: 0.6802 0.3198 0.0000
Sc: 0.0000 0.5000 0.2420
Sc: 0.0000 0.5000 0.7580
Sc: 0.5000 0.0000 0.2420
Sc: 0.5000 0.0000 0.7580
Sc: 0.5000 0.5000 0.2379
Sc: 0.5000 0.5000 0.7621

Most intense lines, 10 to 90 degrees two-theta, sorted by position:
d 5.581, 2θ = 15.88°, intensity 397
d 3.129, 2θ = 28.52°, intensity 856
d 3.118, 2θ = 28.63°, intensity 433
d 3.066, 2θ = 29.13°, intensity 429
d 2.727, 2θ = 32.84°, intensity 1000
d 2.480, 2θ = 36.21°, intensity 420